# CaPm2PtO5
Computed XRD peak list, Cu Kα. Input: the GGA-PBE geometry in Alexandria.
Peak positions follow from Bragg's law for the DFT cell and can differ from measured ones.

Most intense lines, 2θ from 15° to 90°, sorted by position:
| Position (°2θ) | d (Å) | I_rel | (hkl) |
| --- | --- | --- | --- |
| 18.80 | 4.721 | 54 | 1 1 0 |
| 29.93 | 2.986 | 19 | 2 1 0 |
| 30.44 | 2.936 | 40 | 0 0 2 |
| 30.81 | 2.902 | 100 | 2 0 1 |
| 33.67 | 2.662 | 50 | 2 1 1 |
| 38.12 | 2.361 | 23 | 2 2 0 |
| 43.21 | 2.094 | 37 | 2 1 2 |
| 45.66 | 1.987 | 42 | 3 1 1 |
| 49.55 | 1.840 | 21 | 2 2 2 |
| 54.33 | 1.689 | 21 | 2 0 3 |

```
data_CaPm2PtO5
_cell_length_a 6.677
_cell_length_b 6.677
_cell_length_c 5.872
_cell_angle_alpha 90.00
_cell_angle_beta 90.00
_cell_angle_gamma 90.00
_space_group_name_H-M_alt 'P 4/m b m'
_space_group_IT_number 127
_space_group_name_Hall '-P 4 2ab'
loop_
_atom_site_label
_atom_site_fract_x
_atom_site_fract_y
_atom_site_fract_z
Ca1 0.000 0.000 0.000
Pm1 0.173 0.327 0.500
Pt1 0.000 0.500 0.000
O1 0.000 0.000 0.500
O2 0.146 0.646 0.249
```

---

# CaPm2RhO5
Computed XRD peak list, Cu Kα. Input: the GGA-PBE geometry in Alexandria.
Peak positions follow from Bragg's law for the DFT cell and can differ from measured ones.

Most intense lines, 2θ from 15° to 90°, sorted by position:
| Position (°2θ) | d (Å) | I_rel | (hkl) |
| --- | --- | --- | --- |
| 15.22 | 5.821 | 39 | 0 0 1 |
| 18.79 | 4.722 | 36 | 1 1 0 |
| 29.92 | 2.987 | 32 | 2 1 0 |
| 30.72 | 2.910 | 44 | 0 0 2 |
| 30.87 | 2.896 | 100 | 2 0 1 |
| 33.73 | 2.657 | 84 | 2 1 1 |
| 38.11 | 2.361 | 22 | 2 2 0 |
| 43.41 | 2.084 | 61 | 2 1 2 |
| 45.70 | 1.985 | 36 | 3 1 1 |
| 59.21 | 1.560 | 21 | 4 1 1 |

```
data_CaPm2RhO5
_cell_length_a 6.678
_cell_length_b 6.678
_cell_length_c 5.821
_cell_angle_alpha 90.00
_cell_angle_beta 90.00
_cell_angle_gamma 90.00
_space_group_name_H-M_alt 'P 4/m b m'
_space_group_IT_number 127
_space_group_name_Hall '-P 4 2ab'
loop_
_atom_site_label
_atom_site_fract_x
_atom_site_fract_y
_atom_site_fract_z
Ca1 0.000 0.000 0.000
Pm1 0.172 0.328 0.500
Rh1 0.000 0.500 0.000
O1 0.000 0.000 0.500
O2 0.145 0.645 0.247
```

---

# Ca2PmRuO8
Computed XRD peak list, Cu Kα. Input: the GGA-PBE geometry in Alexandria.
Peak positions follow from Bragg's law for the DFT cell and can differ from measured ones.

Most intense lines, 2θ from 15° to 90°, sorted by position:
| Position (°2θ) | d (Å) | I_rel | (hkl) |
| --- | --- | --- | --- |
| 16.88 | 5.252 | 65 | 0 1 0 |
| 19.66 | 4.515 | 31 | 1 0 0 |
| 25.95 | 3.433 | 62 | 1 1 0 |
| 26.10 | 3.414 | 55 | 1 -1 0 |
| 30.78 | 2.904 | 100 | 0 1 2 |
| 32.45 | 2.759 | 34 | 1 0 2 |
| 39.94 | 2.257 | 32 | 2 0 0 |
| 47.73 | 1.906 | 32 | 1 2 -2 |
| 47.90 | 1.899 | 39 | 1 -2 2 |
| 51.34 | 1.780 | 21 | 2 -1 2 |

```
data_Ca2PmRuO8
_cell_length_a 4.515
_cell_length_b 5.252
_cell_length_c 6.972
_cell_angle_alpha 89.94
_cell_angle_beta 89.98
_cell_angle_gamma 89.68
_space_group_name_H-M_alt 'P -1'
_space_group_IT_number 2
loop_
_space_group_symop_operation_xyz
'x,y,z'
'-x,-y,-z'
loop_
_atom_site_label
_atom_site_fract_x
_atom_site_fract_y
_atom_site_fract_z
Ca1 0.001 0.001 0.252
Pm1 0.500 0.500 0.500
Ru1 0.500 0.500 0.000
O1 0.048 0.263 0.500
O2 0.088 0.389 0.000
O3 0.426 0.741 0.199
O4 0.427 0.741 0.801
```